Simulated powder diffractogram
Compound: Dy2ErOs
Radiation: Cu Kα
Structure: a DFT-relaxed cell (GGA-PBE, Alexandria)
Neutral-atom scattering factors, no anomalous dispersion.

Structural model:
Cell lengths 7.373, 9.047, 6.306 Å; angles 90.00, 90.00, 90.00 degrees
Space group Pnma (No. 62)
Inequivalent atoms, fractional coordinates:
Dy: 0.175 0.063 0.169 x8
Er: 0.040 0.250 0.630 x4
Os: 0.117 0.750 0.963 x4

Most intense lines, 10 to 90 degrees two-theta, in order of rising 2θ:
29.76 deg, rel. 47, hkl 2 1 1; 31.30 deg, rel. 67, hkl 2 2 0; 32.43 deg, rel. 100, hkl 1 1 2; 32.92 deg, rel. 75, hkl 0 3 1; 34.46 deg, rel. 79, hkl 2 2 1; 34.68 deg, rel. 44, hkl 0 2 2; 35.16 deg, rel. 86, hkl 1 3 1; 38.57 deg, rel. 52, hkl 2 3 0; 39.35 deg, rel. 49, hkl 3 0 1; 49.39 deg, rel. 56, hkl 1 2 3

---

Simulated powder diffractogram
Compound: DyErP
Radiation: Cu Kα
Structure: a DFT-relaxed cell (GGA-PBE, Alexandria)
Neutral-atom scattering factors, no anomalous dispersion.

Structural model:
Cell lengths 3.8799, 3.8799, 6.3102 Å; angles 90.00, 90.00, 120.00 degrees
Space group P3m1 (No. 156)
Inequivalent atoms, fractional coordinates:
Dy: 0.0000 0.0000 0.0000 x1
Er: 0.3333 0.6667 0.5004 x1
P: 0.6667 0.3333 0.2529 x1

Most intense lines, 10 to 90 degrees two-theta, in order of rising 2θ:
26.53 deg, rel. 15, hkl 1 0 0; 28.29 deg, rel. 21, hkl 0 0 2; 30.13 deg, rel. 100, hkl 1 0 1; 39.17 deg, rel. 23, hkl 0 1 2; 46.83 deg, rel. 23, hkl 1 1 0; 51.24 deg, rel. 23, hkl 0 1 3; 55.62 deg, rel. 20, hkl 1 1 2; 56.70 deg, rel. 17, hkl 0 2 1; 76.52 deg, rel. 14, hkl 2 1 1; 78.08 deg, rel. 10, hkl 1 1 4

---

Simulated powder diffractogram
Compound: DyErPSe
Radiation: Cu Kα
Structure: a DFT-relaxed cell (GGA-PBE, Alexandria)
Neutral-atom scattering factors, no anomalous dispersion.

Structural model:
Cell lengths 3.9475, 3.9475, 20.7967 Å; angles 90.00, 90.00, 120.00 degrees
Space group R3m (No. 160, hexagonal axes)
Inequivalent atoms, fractional coordinates:
Dy: 0.0000 0.0000 0.0000 x3
Er: 0.0000 0.0000 0.8150 x3
P: 0.0000 0.0000 0.4100 x3
Se: 0.0000 0.0000 0.2389 x3

Most intense lines, 10 to 90 degrees two-theta, in order of rising 2θ:
26.42 deg, rel. 54, hkl 1 0 1; 27.46 deg, rel. 21, hkl 0 1 2; 31.32 deg, rel. 45, hkl 1 0 4; 33.94 deg, rel. 100, hkl 0 1 5; 40.21 deg, rel. 29, hkl 1 0 7; 45.98 deg, rel. 51, hkl 1 1 0; 51.43 deg, rel. 18, hkl 1 0 10; 58.37 deg, rel. 21, hkl 2 0 5; 72.59 deg, rel. 18, hkl 1 1 12; 77.33 deg, rel. 18, hkl 1 2 5

---

Simulated powder diffractogram
Compound: Dy5Er2Pb4
Radiation: Cu Kα
Structure: a DFT-relaxed cell (GGA-PBE, Alexandria)
Neutral-atom scattering factors, no anomalous dispersion.

Structural model:
Cell lengths 26.723, 3.519, 7.427 Å; angles 90.00, 91.78, 90.00 degrees
Space group C2/m (No. 12)
Inequivalent atoms, fractional coordinates:
Dy: 0.000 0.000 0.000 x2
Dy: 0.142 0.500 0.838 x4
Dy: 0.238 0.500 0.208 x4
Er: 0.088 0.500 0.289 x4
Pb: 0.033 0.500 0.669 x4
Pb: 0.174 0.000 0.492 x4

Most intense lines, 10 to 90 degrees two-theta, in order of rising 2θ:
25.53 deg, rel. 15, hkl 1 1 0; 29.69 deg, rel. 100, hkl 8 0 1; 30.88 deg, rel. 39, hkl 6 0 -2; 35.23 deg, rel. 20, hkl 1 1 -2; 35.38 deg, rel. 19, hkl 1 1 2; 36.77 deg, rel. 17, hkl 2 0 -3; 37.04 deg, rel. 17, hkl 7 1 1; 37.16 deg, rel. 18, hkl 2 0 3; 39.43 deg, rel. 16, hkl 5 1 2; 41.34 deg, rel. 18, hkl 9 1 -1

---

Simulated powder diffractogram
Compound: DyErPbS
Radiation: Cu Kα
Structure: a DFT-relaxed cell (GGA-PBE, Alexandria)
Neutral-atom scattering factors, no anomalous dispersion.

Structural model:
Cell lengths 3.769, 3.772, 8.395 Å; angles 77.12, 77.11, 60.29 degrees
Space group P1 (No. 1)
Inequivalent atoms, fractional coordinates:
Dy: 0.000 0.000 0.000 x1
Er: 0.203 0.201 0.392 x1
Pb: 0.437 0.432 0.696 x1
S: 0.601 0.600 0.197 x1

Most intense lines, 10 to 90 degrees two-theta, in order of rising 2θ:
27.48 deg, rel. 21, hkl 0 1 0; 31.01 deg, rel. 47, hkl 1 0 -1; 31.14 deg, rel. 23, hkl 1 1 2; 33.00 deg, rel. 100, hkl 1 0 2; 33.13 deg, rel. 27, hkl 0 0 3; 37.73 deg, rel. 15, hkl 1 0 -2; 48.05 deg, rel. 15, hkl 1 -1 0; 48.28 deg, rel. 30, hkl 2 1 1; 59.58 deg, rel. 23, hkl 0 2 -1; 59.82 deg, rel. 27, hkl 2 2 3

---

Simulated powder diffractogram
Compound: DyEr2Pd2
Radiation: Cu Kα
Structure: a DFT-relaxed cell (GGA-PBE, Alexandria)
Neutral-atom scattering factors, no anomalous dispersion.

Structural model:
Cell lengths 3.834, 13.628, 9.613 Å; angles 90.00, 90.00, 90.00 degrees
Space group Cmc2_1 (No. 36)
Inequivalent atoms, fractional coordinates:
Dy: 0.000 0.101 0.000 x4
Er: 0.000 0.183 0.366 x4
Er: 0.000 0.393 0.158 x4
Pd: 0.000 0.262 0.652 x4
Pd: 0.000 0.468 0.875 x4

Most intense lines, 10 to 90 degrees two-theta, in order of rising 2θ:
30.53 deg, rel. 43, hkl 1 3 0; 30.84 deg, rel. 66, hkl 0 2 3; 31.93 deg, rel. 100, hkl 1 3 1; 35.90 deg, rel. 55, hkl 1 3 2; 37.16 deg, rel. 20, hkl 1 1 3; 41.75 deg, rel. 28, hkl 1 5 1; 44.10 deg, rel. 18, hkl 0 6 2; 44.99 deg, rel. 34, hkl 1 1 4; 47.43 deg, rel. 27, hkl 2 0 0; 57.64 deg, rel. 23, hkl 2 2 3

---

Simulated powder diffractogram
Compound: Dy2ErPd
Radiation: Cu Kα
Structure: a DFT-relaxed cell (GGA-PBE, Alexandria)
Neutral-atom scattering factors, no anomalous dispersion.

Structural model:
Cell lengths 6.988, 9.667, 6.442 Å; angles 90.00, 90.00, 90.00 degrees
Space group Pnma (No. 62)
Inequivalent atoms, fractional coordinates:
Dy: 0.183 0.059 0.177 x8
Er: 0.024 0.250 0.632 x4
Pd: 0.109 0.750 0.946 x4

Most intense lines, 10 to 90 degrees two-theta, in order of rising 2θ:
30.55 deg, rel. 96, hkl 1 0 2; 31.03 deg, rel. 99, hkl 0 3 1; 31.60 deg, rel. 91, hkl 2 2 0; 31.97 deg, rel. 100, hkl 1 1 2; 33.64 deg, rel. 54, hkl 1 3 1; 34.60 deg, rel. 67, hkl 2 2 1; 35.88 deg, rel. 41, hkl 1 2 2; 37.99 deg, rel. 45, hkl 2 3 0; 48.17 deg, rel. 37, hkl 1 2 3; 57.14 deg, rel. 50, hkl 0 6 0

---

Simulated powder diffractogram
Compound: DyEr3Pd3
Radiation: Cu Kα
Structure: a DFT-relaxed cell (GGA-PBE, Alexandria)
Neutral-atom scattering factors, no anomalous dispersion.

Structural model:
Cell lengths 9.7933, 9.7933, 5.9644 Å; angles 90.00, 90.00, 120.00 degrees
Space group R3m (No. 160, hexagonal axes)
Inequivalent atoms, fractional coordinates:
Dy: 0.0000 0.0000 0.0000 x3
Er: 0.0448 0.5224 0.0898 x9
Pd: 0.1673 0.3346 0.9012 x9

Most intense lines, 10 to 90 degrees two-theta, in order of rising 2θ:
25.78 deg, rel. 24, hkl 0 2 1; 31.68 deg, rel. 50, hkl 2 1 1; 31.81 deg, rel. 16, hkl 0 1 2; 36.71 deg, rel. 100, hkl 2 2 0; 36.85 deg, rel. 99, hkl 2 0 2; 41.31 deg, rel. 14, hkl 1 2 2; 52.99 deg, rel. 27, hkl 0 4 2; 56.47 deg, rel. 17, hkl 2 3 2; 66.16 deg, rel. 33, hkl 4 2 2; 69.18 deg, rel. 15, hkl 4 3 1

---

Simulated powder diffractogram
Compound: DyErTlPd
Radiation: Cu Kα
Structure: a DFT-relaxed cell (GGA-PBE, Alexandria)
Neutral-atom scattering factors, no anomalous dispersion.

Structural model:
Cell lengths 3.552, 3.552, 7.655 Å; angles 90.00, 90.00, 90.00 degrees
Space group P4mm (No. 99)
Inequivalent atoms, fractional coordinates:
Dy: 0.000 0.000 0.000 x1
Er: 0.000 0.000 0.555 x1
Tl: 0.500 0.500 0.280 x1
Pd: 0.500 0.500 0.771 x1

Most intense lines, 10 to 90 degrees two-theta, in order of rising 2θ:
27.68 deg, rel. 10, hkl 1 0 1; 34.45 deg, rel. 100, hkl 1 0 2; 35.75 deg, rel. 48, hkl 1 1 0; 47.51 deg, rel. 8, hkl 0 0 4; 51.45 deg, rel. 17, hkl 2 0 0; 60.85 deg, rel. 16, hkl 1 1 4; 63.39 deg, rel. 34, hkl 2 1 2; 72.62 deg, rel. 9, hkl 2 0 4; 85.92 deg, rel. 8, hkl 3 0 2; 86.67 deg, rel. 8, hkl 3 1 0

---

Simulated powder diffractogram
Compound: Pm7Dy4Er
Radiation: Cu Kα
Structure: a DFT-relaxed cell (GGA-PBE, Alexandria)
Neutral-atom scattering factors, no anomalous dispersion.

Structural model:
Cell lengths 16.150, 5.972, 9.359 Å; angles 90.00, 116.05, 90.00 degrees
Space group C2/m (No. 12)
Inequivalent atoms, fractional coordinates:
Pm: 0.000 0.000 0.000 x2
Pm: 0.083 0.500 0.443 x4
Pm: 0.209 0.500 0.231 x4
Pm: 0.210 0.500 0.880 x4
Dy: 0.072 0.000 0.698 x4
Dy: 0.173 0.000 0.389 x4
Er: 0.000 0.500 0.000 x2

Most intense lines, 10 to 90 degrees two-theta, in order of rising 2θ:
28.70 deg, rel. 42, hkl 2 0 -3; 28.85 deg, rel. 24, hkl 2 0 2; 29.15 deg, rel. 35, hkl 3 1 1; 29.92 deg, rel. 100, hkl 0 2 0; 30.84 deg, rel. 38, hkl 4 0 1; 31.63 deg, rel. 56, hkl 5 1 -1; 32.45 deg, rel. 69, hkl 5 1 -2; 32.69 deg, rel. 30, hkl 3 1 -3; 33.34 deg, rel. 61, hkl 1 1 -3; 43.51 deg, rel. 30, hkl 4 2 1

---

Simulated powder diffractogram
Compound: Pm3Dy8Er
Radiation: Cu Kα
Structure: a DFT-relaxed cell (GGA-PBE, Alexandria)
Neutral-atom scattering factors, no anomalous dispersion.

Structural model:
Cell lengths 6.457, 11.275, 11.430 Å; angles 90.00, 90.00, 90.00 degrees
Space group Immm (No. 71)
Inequivalent atoms, fractional coordinates:
Pm: 0.000 0.000 0.000 x2
Pm: 0.000 0.500 0.246 x4
Dy: 0.000 0.167 0.251 x8
Dy: 0.247 0.256 0.000 x8
Er: 0.000 0.000 0.500 x2

Most intense lines, 10 to 90 degrees two-theta, in order of rising 2θ:
15.78 deg, rel. 27, hkl 0 2 0; 31.30 deg, rel. 52, hkl 0 0 4; 31.69 deg, rel. 100, hkl 1 3 2; 31.83 deg, rel. 44, hkl 2 0 2; 31.94 deg, rel. 23, hkl 2 2 0; 35.51 deg, rel. 19, hkl 0 4 2; 35.69 deg, rel. 40, hkl 2 2 2; 51.47 deg, rel. 22, hkl 3 3 2; 55.99 deg, rel. 26, hkl 2 0 6; 66.18 deg, rel. 24, hkl 2 6 4

---

Simulated powder diffractogram
Compound: Pm6Dy16Er7
Radiation: Cu Kα
Structure: a DFT-relaxed cell (GGA-PBE, Alexandria)
Neutral-atom scattering factors, no anomalous dispersion.

Structural model:
Cell lengths 15.732, 15.732, 15.732 Å; angles 90.00, 90.00, 90.00 degrees
Space group Fm-3m (No. 225)
Inequivalent atoms, fractional coordinates:
Pm: 0.000 0.000 0.217 x24
Dy: 0.123 0.123 0.377 x32
Dy: 0.153 0.153 0.153 x32
Er: 0.000 0.000 0.500 x4
Er: 0.000 0.250 0.250 x24

Most intense lines, 10 to 90 degrees two-theta, in order of rising 2θ:
27.78 deg, rel. 8, hkl 4 2 2; 29.50 deg, rel. 21, hkl 3 3 3; 32.19 deg, rel. 100, hkl 4 4 0; 33.70 deg, rel. 8, hkl 5 3 1; 44.22 deg, rel. 10, hkl 7 3 1; 46.16 deg, rel. 13, hkl 8 0 0; 57.39 deg, rel. 22, hkl 8 4 4; 58.36 deg, rel. 7, hkl 9 3 3; 60.91 deg, rel. 9, hkl 7 7 3; 81.93 deg, rel. 7, hkl 9 7 7

---

Simulated powder diffractogram
Compound: PmDy6Er12
Radiation: Cu Kα
Structure: a DFT-relaxed cell (GGA-PBE, Alexandria)
Neutral-atom scattering factors, no anomalous dispersion.

Structural model:
Cell lengths 11.7992, 11.7992, 15.0780 Å; angles 90.00, 90.00, 120.00 degrees
Space group R-3 (No. 148, hexagonal axes)
Inequivalent atoms, fractional coordinates:
Pm: 0.0000 0.0000 0.0000 x3
Dy: 0.0082 0.4214 0.6773 x18
Er: 0.0209 0.8376 0.1918 x18
Er: 0.0399 0.8520 0.4156 x18

Most intense lines, 10 to 90 degrees two-theta, in order of rising 2θ:
23.78 deg, rel. 12, hkl 2 1 1; 30.92 deg, rel. 42, hkl 0 1 5; 31.73 deg, rel. 23, hkl 0 3 3; 32.14 deg, rel. 100, hkl 1 3 1; 33.21 deg, rel. 69, hkl 3 -1 4; 33.79 deg, rel. 26, hkl 4 -1 2; 35.28 deg, rel. 17, hkl 2 2 3; 45.57 deg, rel. 14, hkl 5 -2 4; 56.22 deg, rel. 18, hkl 5 2 0; 58.90 deg, rel. 18, hkl 6 -5 5